Diffraction record for SrHgSO. The PXRD pattern is simulated, not measured: it uses the PBE geometry in OQMD and Cu Kα (weighted mean of Kα1 and Kα2).
Intensities are scaled so that the largest is 100.

Structural model:
a = 7.2509 Å, b = 7.2509 Å, c = 6.6697 Å
α = 90.00°, β = 90.00°, γ = 148.47°
Atoms (fractional coordinates):
Sr  0.1067  0.8933  0.5000
Sr  0.8933  0.1067  0.0000
Hg  0.3803  0.6197  0.4671
Hg  0.6197  0.3803  0.9671
S  0.2856  0.7144  0.7739
S  0.7144  0.2856  0.2739
O  0.0484  0.9516  0.8421
O  0.9516  0.0484  0.3421

Largest 10 diffraction maxima, by angle, 2θ from 10° to 90°:
d (Å)	2theta	Rel. int.
4.822	18.40	49
3.489	25.53	53
3.335	26.73	50
3.297	27.05	98
2.741	32.67	100
2.411	37.30	55
1.918	47.40	30
1.788	51.09	25
1.719	53.29	33
1.526	60.70	31

---

Diffraction record for Sr2ZnHgS2O2. The PXRD pattern is simulated, not measured: it uses the PBE geometry in OQMD and Cu Kα (weighted mean of Kα1 and Kα2).
Intensities are scaled so that the largest is 100.

Structural model:
a = 3.9865 Å, b = 3.9865 Å, c = 12.0575 Å
α = 90.00°, β = 90.00°, γ = 120.00°
Atoms (fractional coordinates):
Sr  0.0000  0.0000  0.0000
Sr  0.3333  0.6667  0.5230
Zn  0.6667  0.3333  0.7436
Hg  0.6667  0.3333  0.2435
S  0.0000  0.0000  0.3425
S  0.3333  0.6667  0.8137
O  0.6667  0.3333  0.0612
O  0.6667  0.3333  0.5854

Largest 10 diffraction maxima, by angle, 2θ from 10° to 90°:
d (Å)	2theta	Rel. int.
3.452	25.81	23
3.319	26.86	46
3.014	29.64	27
2.996	29.82	100
2.619	34.24	36
2.271	39.69	19
1.993	45.51	43
1.737	52.70	29
1.663	55.25	28
1.660	55.36	18

---

Diffraction record for Hg2Sb2O7. The PXRD pattern is simulated, not measured: it uses the PBE geometry in OQMD and Cu Kα (weighted mean of Kα1 and Kα2).
Intensities are scaled so that the largest is 100.

Structural model:
a = 7.3748 Å, b = 7.3748 Å, c = 7.3748 Å
α = 60.00°, β = 60.00°, γ = 60.00°
Atoms (fractional coordinates):
Hg  0.0000  0.0000  0.0000
Hg  0.0000  0.0000  0.5000
Hg  0.0000  0.5000  0.0000
Hg  0.5000  0.0000  0.0000
Sb  0.0000  0.5000  0.5000
Sb  0.5000  0.0000  0.5000
Sb  0.5000  0.5000  0.0000
Sb  0.5000  0.5000  0.5000
O  0.1250  0.1250  0.1250
O  0.1787  0.1787  0.5713
O  0.1787  0.5713  0.1787
O  0.1787  0.5713  0.5713
O  0.4287  0.4287  0.8213
O  0.4287  0.8213  0.4287
O  0.4287  0.8213  0.8213
O  0.5713  0.1787  0.1787
O  0.5713  0.1787  0.5713
O  0.5713  0.5713  0.1787
O  0.8213  0.4287  0.4287
O  0.8213  0.4287  0.8213
O  0.8213  0.8213  0.4287
O  0.8750  0.8750  0.8750

Largest 10 diffraction maxima, by angle, 2θ from 10° to 90°:
d (Å)	2theta	Rel. int.
6.021	14.71	5
3.011	29.67	100
2.607	34.40	38
2.393	37.59	6
1.844	49.43	44
1.572	58.72	44
1.505	61.61	12
1.304	72.50	7
1.196	80.24	18
1.166	82.77	16

---

Repeat the third record exactly.
Diffraction record for Hg2Sb2O7. The PXRD pattern is simulated, not measured: it uses the PBE geometry in OQMD and Cu Kα (weighted mean of Kα1 and Kα2).
Intensities are scaled so that the largest is 100.

Structural model:
a = 7.3748 Å, b = 7.3748 Å, c = 7.3748 Å
α = 60.00°, β = 60.00°, γ = 60.00°
Atoms (fractional coordinates):
Hg  0.0000  0.0000  0.0000
Hg  0.0000  0.0000  0.5000
Hg  0.0000  0.5000  0.0000
Hg  0.5000  0.0000  0.0000
Sb  0.0000  0.5000  0.5000
Sb  0.5000  0.0000  0.5000
Sb  0.5000  0.5000  0.0000
Sb  0.5000  0.5000  0.5000
O  0.1250  0.1250  0.1250
O  0.1787  0.1787  0.5713
O  0.1787  0.5713  0.1787
O  0.1787  0.5713  0.5713
O  0.4287  0.4287  0.8213
O  0.4287  0.8213  0.4287
O  0.4287  0.8213  0.8213
O  0.5713  0.1787  0.1787
O  0.5713  0.1787  0.5713
O  0.5713  0.5713  0.1787
O  0.8213  0.4287  0.4287
O  0.8213  0.4287  0.8213
O  0.8213  0.8213  0.4287
O  0.8750  0.8750  0.8750

Largest 10 diffraction maxima, by angle, 2θ from 10° to 90°:
d (Å)	2theta	Rel. int.
6.021	14.71	5
3.011	29.67	100
2.607	34.40	38
2.393	37.59	6
1.844	49.43	44
1.572	58.72	44
1.505	61.61	12
1.304	72.50	7
1.196	80.24	18
1.166	82.77	16